1.
For Zn3CrRh12, the PBE geometry in Alexandria gives the theoretical powder diffraction line list in this record (copper Kα).

Structure:
a b c (Å): 3.819 3.819 15.366
angles (deg): 90.00 90.00 90.00
Space group P4/mmm (No. 123)
Unique sites:
Zn 0.000 0.000 0.000 x1
Zn 0.000 0.000 0.251 x2
Cr 0.000 0.000 0.500 x1
Rh 0.000 0.500 0.126 x4
Rh 0.000 0.500 0.379 x4
Rh 0.500 0.500 0.000 x1
Rh 0.500 0.500 0.252 x2
Rh 0.500 0.500 0.500 x1

Most intense lines, 10 to 90 degrees two-theta, by angle:
23.15°, rel. 1, hkl 0 0 4
23.29°, rel. 2, hkl 1 0 0
33.08°, rel. 2, hkl 1 0 4
40.85°, rel. 100, hkl 1 1 4
47.33°, rel. 16, hkl 0 0 8
47.62°, rel. 32, hkl 2 0 0
53.63°, rel. 1, hkl 2 1 0
69.40°, rel. 20, hkl 2 0 8
69.64°, rel. 10, hkl 2 2 0
83.57°, rel. 12, hkl 1 1 12
84.01°, rel. 24, hkl 3 1 4
88.52°, rel. 10, hkl 2 2 8

2.
For ZnCrRh6, the PBE geometry in Alexandria gives the theoretical powder diffraction line list in this record (copper Kα).

Structure:
a b c (Å): 3.804 3.804 7.669
angles (deg): 90.00 90.00 90.00
Space group P4/mmm (No. 123)
Unique sites:
Zn 0.000 0.000 0.000 x1
Cr 0.000 0.000 0.500 x1
Rh 0.000 0.500 0.258 x4
Rh 0.500 0.500 0.000 x1
Rh 0.500 0.500 0.500 x1

Most intense lines, 10 to 90 degrees two-theta, by angle:
23.20°, rel. 1, hkl 0 0 2
23.38°, rel. 3, hkl 1 0 0
33.17°, rel. 2, hkl 1 0 2
40.98°, rel. 100, hkl 1 1 2
47.42°, rel. 16, hkl 0 0 4
47.82°, rel. 32, hkl 2 0 0
53.84°, rel. 1, hkl 2 1 0
69.63°, rel. 19, hkl 2 0 4
69.94°, rel. 10, hkl 2 2 0
83.79°, rel. 11, hkl 1 1 6
84.38°, rel. 23, hkl 3 1 2
88.88°, rel. 10, hkl 2 2 4

3.
For CrRu4, the PBE geometry in Alexandria gives the theoretical powder diffraction line list in this record (copper Kα).

Structure:
a b c (Å): 4.677 12.764 5.164
angles (deg): 90.00 116.80 90.00
Space group Cc (No. 9)
Unique sites:
Cr 0.000 0.125 0.000 x4
Ru 0.068 0.078 0.579 x4
Ru 0.071 0.474 0.592 x4
Ru 0.478 0.224 0.907 x4
Ru 0.489 0.172 0.420 x4

Most intense lines, 10 to 90 degrees two-theta, by angle:
30.00°, rel. 10, hkl 1 3 -1
39.08°, rel. 18, hkl 0 0 2
41.05°, rel. 35, hkl 1 3 1
41.47°, rel. 100, hkl 1 5 -1
41.67°, rel. 37, hkl 0 2 2
43.39°, rel. 71, hkl 2 0 0
45.77°, rel. 19, hkl 2 2 0
50.40°, rel. 31, hkl 1 5 1
57.97°, rel. 18, hkl 1 3 -3
71.67°, rel. 18, hkl 3 5 -1
77.61°, rel. 12, hkl 0 10 1
86.96°, rel. 12, hkl 2 10 -1